# PmGa3Rh3
Simulated powder XRD pattern, a wavelength of 1.5418 Å. Input: a structure optimized by DFT (GGA-PBE).
Neutral-atom scattering factors, no anomalous dispersion.

Top 10 peaks for 10° ≤ 2θ ≤ 80°, in order of rising 2θ:
2θ = 30.1°, intensity 86
2θ = 36.2°, intensity 17
2θ = 36.9°, intensity 40
2θ = 39.3°, intensity 100
2θ = 41.2°, intensity 72
2θ = 42.1°, intensity 61
2θ = 45.4°, intensity 18
2θ = 46.7°, intensity 29
2θ = 51.5°, intensity 39
2θ = 73.9°, intensity 18

Atomic structure:
Unit cell a=7.3733 b=7.3733 c=7.3733 alpha=54.38 beta=54.38 gamma=54.38
Sites, in units of the cell vectors:
1 Pm 0.1614 0.1614 0.1614
2 Pm 0.8386 0.8386 0.8386
3 Ga 0.0435 0.2375 0.5995
4 Ga 0.2375 0.5995 0.0435
5 Ga 0.4005 0.9565 0.7625
6 Ga 0.5995 0.0435 0.2375
7 Ga 0.7625 0.4005 0.9565
8 Ga 0.9565 0.7625 0.4005
9 Rh 0.1900 0.4241 0.6738
10 Rh 0.3262 0.8100 0.5759
11 Rh 0.4241 0.6738 0.1900
12 Rh 0.5759 0.3262 0.8100
13 Rh 0.6738 0.1900 0.4241
14 Rh 0.8100 0.5759 0.3262


# La2P3H7O11
Simulated powder XRD pattern, a wavelength of 1.5418 Å. Input: a structure optimized by DFT (GGA-PBE).
Neutral-atom scattering factors, no anomalous dispersion.

Top 10 peaks for 10° ≤ 2θ ≤ 80°, in order of rising 2θ:
2θ = 12.0°, intensity 71
2θ = 13.5°, intensity 100
2θ = 15.8°, intensity 55
2θ = 21.5°, intensity 42
2θ = 24.9°, intensity 51
2θ = 25.0°, intensity 31
2θ = 27.5°, intensity 31
2θ = 28.2°, intensity 48
2θ = 28.5°, intensity 34
2θ = 30.7°, intensity 39

Atomic structure:
Unit cell a=8.3806 b=8.4322 c=9.2422 alpha=114.80 beta=98.95 gamma=104.62
Sites, in units of the cell vectors:
1 La 0.1090 0.2966 0.3652
2 La 0.3140 0.2614 0.9877
3 La 0.6860 0.7386 0.0123
4 La 0.8910 0.7034 0.6348
5 P 0.1199 0.8899 0.1019
6 P 0.3307 0.7677 0.7372
7 P 0.4885 0.6616 0.3358
8 P 0.5115 0.3384 0.6642
9 P 0.6693 0.2323 0.2628
10 P 0.8801 0.1101 0.8981
11 H 0.0396 0.8799 0.3848
12 H 0.0772 0.4080 0.8010
13 H 0.1708 0.8928 0.5377
14 H 0.2194 0.7984 0.1492
15 H 0.2585 0.5674 0.8976
16 H 0.4239 0.8090 0.3957
17 H 0.4554 0.7676 0.6518
18 H 0.5446 0.2324 0.3482
19 H 0.5761 0.1910 0.6043
20 H 0.7415 0.4326 0.1024
21 H 0.7806 0.2016 0.8508
22 H 0.8292 0.1072 0.4623
23 H 0.9228 0.5920 0.1990
24 H 0.9604 0.1201 0.6152
25 O 0.0030 0.7572 0.9223
26 O 0.0035 0.9331 0.2207
27 O 0.0575 0.8173 0.4533
28 O 0.1625 0.5990 0.6142
29 O 0.1774 0.4576 0.8973
30 O 0.2413 0.0787 0.1341
31 O 0.2898 0.9474 0.7767
32 O 0.3392 0.2765 0.5362
33 O 0.3483 0.4831 0.3083
34 O 0.4029 0.7452 0.8879
35 O 0.4954 0.3732 0.8383
36 O 0.5046 0.6268 0.1617
37 O 0.5971 0.2548 0.1121
38 O 0.6517 0.5169 0.6917
39 O 0.6608 0.7235 0.4638
40 O 0.7102 0.0526 0.2233
41 O 0.7587 0.9213 0.8659
42 O 0.8226 0.5424 0.1027
43 O 0.8375 0.4010 0.3858
44 O 0.9425 0.1827 0.5467
45 O 0.9965 0.0669 0.7793
46 O 0.9970 0.2428 0.0777


What did the first record say?
# PmGa3Rh3
Simulated powder XRD pattern, a wavelength of 1.5418 Å. Input: a structure optimized by DFT (GGA-PBE).
Neutral-atom scattering factors, no anomalous dispersion.

Top 10 peaks for 10° ≤ 2θ ≤ 80°, in order of rising 2θ:
2θ = 30.1°, intensity 86
2θ = 36.2°, intensity 17
2θ = 36.9°, intensity 40
2θ = 39.3°, intensity 100
2θ = 41.2°, intensity 72
2θ = 42.1°, intensity 61
2θ = 45.4°, intensity 18
2θ = 46.7°, intensity 29
2θ = 51.5°, intensity 39
2θ = 73.9°, intensity 18

Atomic structure:
Unit cell a=7.3733 b=7.3733 c=7.3733 alpha=54.38 beta=54.38 gamma=54.38
Sites, in units of the cell vectors:
1 Pm 0.1614 0.1614 0.1614
2 Pm 0.8386 0.8386 0.8386
3 Ga 0.0435 0.2375 0.5995
4 Ga 0.2375 0.5995 0.0435
5 Ga 0.4005 0.9565 0.7625
6 Ga 0.5995 0.0435 0.2375
7 Ga 0.7625 0.4005 0.9565
8 Ga 0.9565 0.7625 0.4005
9 Rh 0.1900 0.4241 0.6738
10 Rh 0.3262 0.8100 0.5759
11 Rh 0.4241 0.6738 0.1900
12 Rh 0.5759 0.3262 0.8100
13 Rh 0.6738 0.1900 0.4241
14 Rh 0.8100 0.5759 0.3262


Repeat the second record exactly.
# La2P3H7O11
Simulated powder XRD pattern, a wavelength of 1.5418 Å. Input: a structure optimized by DFT (GGA-PBE).
Neutral-atom scattering factors, no anomalous dispersion.

Top 10 peaks for 10° ≤ 2θ ≤ 80°, in order of rising 2θ:
2θ = 12.0°, intensity 71
2θ = 13.5°, intensity 100
2θ = 15.8°, intensity 55
2θ = 21.5°, intensity 42
2θ = 24.9°, intensity 51
2θ = 25.0°, intensity 31
2θ = 27.5°, intensity 31
2θ = 28.2°, intensity 48
2θ = 28.5°, intensity 34
2θ = 30.7°, intensity 39

Atomic structure:
Unit cell a=8.3806 b=8.4322 c=9.2422 alpha=114.80 beta=98.95 gamma=104.62
Sites, in units of the cell vectors:
1 La 0.1090 0.2966 0.3652
2 La 0.3140 0.2614 0.9877
3 La 0.6860 0.7386 0.0123
4 La 0.8910 0.7034 0.6348
5 P 0.1199 0.8899 0.1019
6 P 0.3307 0.7677 0.7372
7 P 0.4885 0.6616 0.3358
8 P 0.5115 0.3384 0.6642
9 P 0.6693 0.2323 0.2628
10 P 0.8801 0.1101 0.8981
11 H 0.0396 0.8799 0.3848
12 H 0.0772 0.4080 0.8010
13 H 0.1708 0.8928 0.5377
14 H 0.2194 0.7984 0.1492
15 H 0.2585 0.5674 0.8976
16 H 0.4239 0.8090 0.3957
17 H 0.4554 0.7676 0.6518
18 H 0.5446 0.2324 0.3482
19 H 0.5761 0.1910 0.6043
20 H 0.7415 0.4326 0.1024
21 H 0.7806 0.2016 0.8508
22 H 0.8292 0.1072 0.4623
23 H 0.9228 0.5920 0.1990
24 H 0.9604 0.1201 0.6152
25 O 0.0030 0.7572 0.9223
26 O 0.0035 0.9331 0.2207
27 O 0.0575 0.8173 0.4533
28 O 0.1625 0.5990 0.6142
29 O 0.1774 0.4576 0.8973
30 O 0.2413 0.0787 0.1341
31 O 0.2898 0.9474 0.7767
32 O 0.3392 0.2765 0.5362
33 O 0.3483 0.4831 0.3083
34 O 0.4029 0.7452 0.8879
35 O 0.4954 0.3732 0.8383
36 O 0.5046 0.6268 0.1617
37 O 0.5971 0.2548 0.1121
38 O 0.6517 0.5169 0.6917
39 O 0.6608 0.7235 0.4638
40 O 0.7102 0.0526 0.2233
41 O 0.7587 0.9213 0.8659
42 O 0.8226 0.5424 0.1027
43 O 0.8375 0.4010 0.3858
44 O 0.9425 0.1827 0.5467
45 O 0.9965 0.0669 0.7793
46 O 0.9970 0.2428 0.0777